(1)
NdPa5N6: simulated powder XRD pattern (Cu Kα), based on a crystal structure in Alexandria, relaxed with PBE.
Neutral-atom scattering factors, no anomalous dispersion.

Peak list (6 most intense, 2θ = 10–90°, sorted by position)
- 2θ = 31.1°, I 100
- 2θ = 36.1°, I 66
- 2θ = 51.9°, I 47
- 2θ = 61.8°, I 31
- 2θ = 64.9°, I 16
- 2θ = 84.9°, I 17

Atomic structure:
```
NdPa5N6
1.0
3.052 -5.278 0.000
3.052 5.278 0.000
-2.036 0.000 5.746
Nd Pa N
1 5 6
Direct
0.000 0.000 0.000
0.164 0.836 0.500
0.333 0.667 0.000
0.500 0.500 0.500
0.667 0.333 0.000
0.836 0.164 0.500
0.087 0.432 0.258
0.261 0.261 0.746
0.432 0.087 0.258
0.568 0.913 0.742
0.739 0.739 0.254
0.913 0.568 0.742
```

(2)
NdPaRuN4: simulated powder XRD pattern (Cu Kα), based on a crystal structure in Alexandria, relaxed with PBE.
Neutral-atom scattering factors, no anomalous dispersion.

Peak list (6 most intense, 2θ = 10–90°, sorted by position)
- 2θ = 31.8°, I 100
- 2θ = 32.7°, I 62
- 2θ = 44.3°, I 25
- 2θ = 46.9°, I 28
- 2θ = 56.1°, I 20
- 2θ = 57.7°, I 47

Atomic structure:
```
NdPaRuN4
1.0
-1.939 1.939 6.141
1.939 -1.939 6.141
1.939 1.939 -6.141
Nd Pa Ru N
1 1 1 4
Direct
0.000 0.000 0.000
0.715 0.715 0.000
0.353 0.353 0.000
0.184 0.184 0.000
0.343 0.843 0.500
0.541 0.541 0.000
0.843 0.343 0.500
```

What did the second record say?
NdPaRuN4: simulated powder XRD pattern (Cu Kα), based on a crystal structure in Alexandria, relaxed with PBE.
Neutral-atom scattering factors, no anomalous dispersion.

Peak list (6 most intense, 2θ = 10–90°, sorted by position)
- 2θ = 31.8°, I 100
- 2θ = 32.7°, I 62
- 2θ = 44.3°, I 25
- 2θ = 46.9°, I 28
- 2θ = 56.1°, I 20
- 2θ = 57.7°, I 47

Atomic structure:
```
NdPaRuN4
1.0
-1.939 1.939 6.141
1.939 -1.939 6.141
1.939 1.939 -6.141
Nd Pa Ru N
1 1 1 4
Direct
0.000 0.000 0.000
0.715 0.715 0.000
0.353 0.353 0.000
0.184 0.184 0.000
0.343 0.843 0.500
0.541 0.541 0.000
0.843 0.343 0.500
```